Entry 1:
# MnV5Co2Ru2
Calculated powder XRD pattern, λ = 1.5418 Å (Cu Kα). Input: a crystal structure in Alexandria, relaxed with PBE.
Neutral-atom scattering factors, no anomalous dispersion.

Cell and atoms:
a = 9.306 Å, b = 9.306 Å, c = 2.998 Å
α = 90.00°, β = 90.00°, γ = 90.00°
Atoms (fractional coordinates):
1 Mn 0.000 0.000 0.000
2 Mn 0.500 0.500 0.000
3 V 0.000 0.500 0.500
4 V 0.070 0.191 0.500
5 V 0.191 0.930 0.500
6 V 0.309 0.430 0.500
7 V 0.430 0.691 0.500
8 V 0.500 0.000 0.500
9 V 0.570 0.309 0.500
10 V 0.691 0.570 0.500
11 V 0.809 0.070 0.500
12 V 0.930 0.809 0.500
13 Co 0.132 0.368 0.000
14 Co 0.368 0.868 0.000
15 Co 0.632 0.132 0.000
16 Co 0.868 0.632 0.000
17 Ru 0.166 0.666 0.000
18 Ru 0.334 0.166 0.000
19 Ru 0.666 0.834 0.000
20 Ru 0.834 0.334 0.000

Principal peaks in the range 2θ from 5° to 70°, sorted by position:
2θ = 30.4°, intensity 12
2θ = 37.0°, intensity 15
2θ = 39.9°, intensity 38
2θ = 40.7°, intensity 11
2θ = 41.2°, intensity 25
2θ = 43.1°, intensity 100
2θ = 43.5°, intensity 14
2θ = 46.4°, intensity 20
2θ = 49.6°, intensity 12
2θ = 61.9°, intensity 18

Entry 2:
# Mn4CoS5
Calculated powder XRD pattern, λ = 1.5418 Å (Cu Kα). Input: a crystal structure in Alexandria, relaxed with PBE.
Neutral-atom scattering factors, no anomalous dispersion.

Cell and atoms:
a = 14.619 Å, b = 14.619 Å, c = 14.619 Å
α = 13.98°, β = 13.98°, γ = 13.98°
Atoms (fractional coordinates):
1 Mn 0.103 0.103 0.103
2 Mn 0.299 0.299 0.299
3 Mn 0.701 0.701 0.701
4 Mn 0.897 0.897 0.897
5 Co 0.500 0.500 0.500
6 S 0.000 0.000 0.000
7 S 0.197 0.197 0.197
8 S 0.401 0.401 0.401
9 S 0.599 0.599 0.599
10 S 0.803 0.803 0.803

Principal peaks in the range 2θ from 5° to 70°, sorted by position:
2θ = 6.1°, intensity 2
2θ = 30.8°, intensity 11
2θ = 30.9°, intensity 3
2θ = 35.7°, intensity 100
2θ = 51.3°, intensity 33
2θ = 51.5°, intensity 30
2θ = 61.1°, intensity 4
2θ = 61.3°, intensity 1
2θ = 64.1°, intensity 16
2θ = 64.4°, intensity 5

Entry 3:
# MnCoS4
Calculated powder XRD pattern, λ = 1.5418 Å (Cu Kα). Input: a crystal structure in Alexandria, relaxed with PBE.
Neutral-atom scattering factors, no anomalous dispersion.

Cell and atoms:
a = 5.436 Å, b = 5.441 Å, c = 5.448 Å
α = 90.00°, β = 90.24°, γ = 90.00°
Atoms (fractional coordinates):
1 Mn 0.000 0.000 0.000
2 Mn 0.000 0.500 0.500
3 Co 0.500 0.000 0.500
4 Co 0.500 0.500 0.000
5 S 0.112 0.120 0.622
6 S 0.112 0.380 0.122
7 S 0.377 0.615 0.614
8 S 0.377 0.885 0.114
9 S 0.623 0.115 0.886
10 S 0.623 0.385 0.386
11 S 0.888 0.620 0.878
12 S 0.888 0.880 0.378

Principal peaks in the range 2θ from 5° to 70°, sorted by position:
2θ = 28.4°, intensity 48
2θ = 32.9°, intensity 100
2θ = 36.9°, intensity 30
2θ = 37.0°, intensity 35
2θ = 40.6°, intensity 29
2θ = 40.7°, intensity 24
2θ = 47.2°, intensity 29
2θ = 47.3°, intensity 28
2θ = 55.9°, intensity 21
2θ = 56.1°, intensity 77

Entry 4:
# MnCoS2
Calculated powder XRD pattern, λ = 1.5418 Å (Cu Kα). Input: a crystal structure in Alexandria, relaxed with PBE.
Neutral-atom scattering factors, no anomalous dispersion.

Cell and atoms:
a = 3.618 Å, b = 3.619 Å, c = 5.664 Å
α = 90.00°, β = 90.15°, γ = 90.00°
Atoms (fractional coordinates):
1 Mn 0.000 0.000 0.000
2 Co 0.500 0.500 0.000
3 S 0.001 0.500 0.216
4 S 0.499 0.000 0.784

Principal peaks in the range 2θ from 5° to 70°, sorted by position:
2θ = 15.6°, intensity 100
2θ = 29.3°, intensity 21
2θ = 35.1°, intensity 4
2θ = 38.6°, intensity 24
2θ = 47.9°, intensity 35
2θ = 50.4°, intensity 16
2θ = 53.1°, intensity 14
2θ = 59.4°, intensity 4
2θ = 60.9°, intensity 7
2θ = 61.0°, intensity 6

Entry 5:
# Ta2Mn2CoS6
Calculated powder XRD pattern, λ = 1.5418 Å (Cu Kα). Input: a crystal structure in Alexandria, relaxed with PBE.
Neutral-atom scattering factors, no anomalous dispersion.

Cell and atoms:
a = 6.071 Å, b = 6.071 Å, c = 5.949 Å
α = 90.73°, β = 90.73°, γ = 121.80°
Atoms (fractional coordinates):
1 Ta 0.140 0.860 0.000
2 Ta 0.860 0.140 0.000
3 Mn 0.174 0.826 0.500
4 Mn 0.826 0.174 0.500
5 Co 0.500 0.500 0.000
6 S 0.171 0.508 0.769
7 S 0.190 0.190 0.272
8 S 0.492 0.829 0.231
9 S 0.508 0.171 0.769
10 S 0.810 0.810 0.728
11 S 0.829 0.492 0.231

Principal peaks in the range 2θ from 5° to 70°, sorted by position:
2θ = 14.9°, intensity 100
2θ = 17.2°, intensity 64
2θ = 29.4°, intensity 64
2θ = 30.3°, intensity 35
2θ = 33.3°, intensity 56
2θ = 33.5°, intensity 33
2θ = 42.3°, intensity 50
2θ = 42.6°, intensity 32
2θ = 42.9°, intensity 51
2θ = 53.3°, intensity 35

Entry 6:
# MnCoSb
Calculated powder XRD pattern, λ = 1.5418 Å (Cu Kα). Input: a crystal structure in Alexandria, relaxed with PBE.
Neutral-atom scattering factors, no anomalous dispersion.

Cell and atoms:
a = 5.158 Å, b = 5.158 Å, c = 4.227 Å
α = 90.00°, β = 90.00°, γ = 117.80°
Atoms (fractional coordinates):
1 Mn 0.250 0.250 0.000
2 Mn 0.750 0.750 0.000
3 Co 0.000 0.000 0.500
4 Co 0.500 0.500 0.500
5 Sb 0.250 0.750 0.792
6 Sb 0.750 0.250 0.208

Principal peaks in the range 2θ from 5° to 70°, sorted by position:
2θ = 28.8°, intensity 100
2θ = 33.6°, intensity 20
2θ = 39.5°, intensity 21
2θ = 40.9°, intensity 40
2θ = 41.0°, intensity 38
2θ = 45.2°, intensity 46
2θ = 47.7°, intensity 44
2θ = 57.2°, intensity 14
2θ = 59.3°, intensity 13
2θ = 59.6°, intensity 11

Entry 7:
# MnCoSb
Calculated powder XRD pattern, λ = 1.5418 Å (Cu Kα). Input: a crystal structure in Alexandria, relaxed with PBE.
Neutral-atom scattering factors, no anomalous dispersion.

Cell and atoms:
a = 8.177 Å, b = 8.177 Å, c = 8.177 Å
α = 60.00°, β = 60.00°, γ = 60.00°
Atoms (fractional coordinates):
1 Mn 0.000 0.000 0.000
2 Mn 0.000 0.000 0.500
3 Mn 0.000 0.500 0.000
4 Mn 0.000 0.500 0.500
5 Mn 0.500 0.000 0.000
6 Mn 0.500 0.000 0.500
7 Mn 0.500 0.500 0.000
8 Mn 0.500 0.500 0.500
9 Co 0.121 0.121 0.121
10 Co 0.121 0.121 0.638
11 Co 0.121 0.638 0.121
12 Co 0.362 0.879 0.879
13 Co 0.638 0.121 0.121
14 Co 0.879 0.362 0.879
15 Co 0.879 0.879 0.362
16 Co 0.879 0.879 0.879
17 Sb 0.250 0.250 0.250
18 Sb 0.268 0.268 0.732
19 Sb 0.268 0.732 0.268
20 Sb 0.268 0.732 0.732
21 Sb 0.732 0.268 0.268
22 Sb 0.732 0.268 0.732
23 Sb 0.732 0.732 0.268
24 Sb 0.750 0.750 0.750

Principal peaks in the range 2θ from 5° to 70°, sorted by position:
2θ = 13.3°, intensity 5
2θ = 25.5°, intensity 6
2θ = 26.7°, intensity 19
2θ = 30.9°, intensity 32
2θ = 33.8°, intensity 10
2θ = 40.5°, intensity 12
2θ = 44.3°, intensity 100
2θ = 52.5°, intensity 8
2θ = 55.0°, intensity 7
2θ = 64.5°, intensity 15

Entry 8:
# ScMnCo10
Calculated powder XRD pattern, λ = 1.5418 Å (Cu Kα). Input: a crystal structure in Alexandria, relaxed with PBE.
Neutral-atom scattering factors, no anomalous dispersion.

Cell and atoms:
a = 4.008 Å, b = 4.722 Å, c = 8.134 Å
α = 90.00°, β = 90.00°, γ = 90.00°
Atoms (fractional coordinates):
1 Sc 0.000 0.000 0.000
2 Mn 0.000 0.500 0.500
3 Co 0.000 0.000 0.341
4 Co 0.000 0.000 0.659
5 Co 0.000 0.500 0.184
6 Co 0.000 0.500 0.816
7 Co 0.500 0.000 0.500
8 Co 0.500 0.250 0.250
9 Co 0.500 0.250 0.750
10 Co 0.500 0.500 0.000
11 Co 0.500 0.750 0.250
12 Co 0.500 0.750 0.750

Principal peaks in the range 2θ from 5° to 70°, sorted by position:
2θ = 21.8°, intensity 52
2θ = 31.3°, intensity 20
2θ = 38.3°, intensity 17
2θ = 44.4°, intensity 27
2θ = 44.5°, intensity 69
2θ = 44.7°, intensity 100
2θ = 45.3°, intensity 58
2θ = 50.1°, intensity 54
2θ = 50.3°, intensity 21
2θ = 65.2°, intensity 15